Starting from a structure optimized by DFT (GGA+U), the powder diffractogram of Mn5V2H4O12 was computed for Cu Kα (weighted mean of Kα1 and Kα2).
No peak broadening, texture or thermal motion is included.

Atomic structure:
```
data_Mn5V2H4O12
_chemical_formula_sum 'Mn10 V4 H8 O24'
_cell_length_a 9.7940
_cell_length_b 9.5769
_cell_length_c 5.4390
_cell_angle_alpha 90.00
_cell_angle_beta 98.97
_cell_angle_gamma 90.00
_symmetry_space_group_name_H-M 'C 1 2/m 1'
_symmetry_Int_Tables_number 12
loop_
_symmetry_equiv_pos_as_xyz
'x,y,z'
'-x,-y,-z'
'-x,y,-z'
'x,-y,z'
'x+1/2,y+1/2,z'
'-x+1/2,-y+1/2,-z'
'-x+1/2,y+1/2,-z'
'x+1/2,-y+1/2,z'
loop_
_atom_site_label
_atom_site_type_symbol
_atom_site_fract_x
_atom_site_fract_y
_atom_site_fract_z
Mn1 Mn 0.0000 0.0000 0.0000
Mn2 Mn 0.0000 0.1785 0.5000
Mn3 Mn 0.0000 0.3448 0.0000
V1 V 0.1889 0.5000 0.5580
H1 H 0.2039 0.1584 0.8686
O1 O 0.1048 0.1671 0.8703
O2 O 0.1246 0.5000 0.8437
O3 O 0.1267 0.0000 0.3764
O4 O 0.1306 0.3530 0.3801
```

Largest 6 diffraction maxima, in order of rising 2θ, 10° ≤ 2θ ≤ 80°:
(2 0 0), 2θ = 18.3°, 4.837 Å, intensity 87
(1 3 -1), 2θ = 33.2°, 2.697 Å, intensity 100
(0 0 2), 2θ = 33.4°, 2.686 Å, intensity 48
(3 3 -1), 2θ = 41.5°, 2.177 Å, intensity 56
(1 3 -3), 2θ = 58.6°, 1.576 Å, intensity 41
(5 3 1), 2θ = 60.7°, 1.525 Å, intensity 35